Simulated X-ray powder pattern of Co3TcTe for λ = 1.5418 Å (Cu Kα), from a crystal structure in Alexandria, relaxed with GGA-PBE.

Top 6 peaks for 2θ from 10° to 80°, most intense first:
two_theta  d_spacing  I (rel.)  hkl
39.39  2.287  100  2 0 0
27.57  3.235  82  1 1 0
56.93  1.617  65  2 2 0
48.76  1.868  34  2 1 1
33.94  2.641  32  1 1 1
19.40  4.575  27  1 0 0

Crystal structure
```
Co3TcTe
1.0
4.575 0.000 0.000
0.000 4.575 0.000
0.000 0.000 4.575
Co Tc Te
3 1 1
Direct
0.000 0.000 0.500
0.000 0.500 0.000
0.500 0.000 0.000
0.500 0.500 0.500
0.000 0.000 0.000
```